This entry pairs a crystal structure of Y2HoCu4Si2Sn2 with its calculated powder diffraction line list. Radiation: copper Kα. Structure: DFT lattice parameters and positions (GGA-PBE).
Neutral-atom scattering factors, no anomalous dispersion.

Structure:
Cell: 4.3278 6.6283 14.3514 Å, 90.00 90.00 90.00°
Space group Immm (No. 71)
Asymmetric unit:
Y  0.0000  0.0000  0.1239
Ho  0.0000  0.5000  0.0000
Cu  0.0000  0.1893  0.3463
Si  0.0000  0.3172  0.5000
Sn  0.0000  0.5000  0.2181

The 8 most intense peaks (5 to 70 degrees two-theta), in order of rising 2θ:
| d_spacing | I/Imax | hkl |
| --- | --- | --- |
| 6.018 | 13 | 0 1 1 |
| 3.314 | 16 | 0 2 0 |
| 2.634 | 35 | 0 1 5 |
| 2.588 | 67 | 1 2 1 |
| 2.550 | 100 | 1 1 4 |
| 2.306 | 13 | 1 2 3 |
| 2.164 | 35 | 2 0 0 |
| 1.672 | 18 | 2 1 5 |